# Ac2TlCdIr
Simulated powder diffraction line list, Cu Ka. Input: DFT lattice parameters and positions (GGA-PBE).

Top 10 peaks for 15° ≤ 2θ ≤ 90°, by intensity:
29.14°, I = 1000; 35.05°, I = 574; 32.31°, I = 486; 30.11°, I = 482; 41.22°, I = 440; 28.28°, I = 418; 33.30°, I = 407; 37.46°, I = 394; 31.16°, I = 224; 53.99°, I = 210

Structure:
abc: 8.618 4.380 8.681
angles: 90.00 111.61 90.00
Space group P2_1/m (No. 11)
One atom of each set of equivalent atoms:
Ac1 0.108 0.250 0.336 [2 per cell]
Ac2 0.281 0.250 0.986 [2 per cell]
Tl1 0.314 0.750 0.677 [2 per cell]
Cd1 0.439 0.750 0.350 [2 per cell]
Ir1 0.112 0.750 0.100 [2 per cell]

# Tb10PmSc4
Simulated powder diffraction line list, Cu Ka. Input: DFT lattice parameters and positions (GGA-PBE).

Top 10 peaks for 15° ≤ 2θ ≤ 90°, by intensity:
33.44°, I = 1000; 26.41°, I = 854; 37.70°, I = 563; 35.89°, I = 465; 20.15°, I = 354; 31.90°, I = 318; 43.11°, I = 252; 39.79°, I = 248; 61.57°, I = 223; 43.39°, I = 201

Structure:
abc: 10.671 10.671 8.815
angles: 90.00 90.00 90.00
Space group I4/m (No. 87)
One atom of each set of equivalent atoms:
Tb1 0.000 0.500 0.250 [4 per cell]
Tb2 0.120 0.217 0.185 [16 per cell]
Pm1 0.000 0.000 0.000 [2 per cell]
Sc1 0.047 0.771 0.500 [8 per cell]

# AcTc2O6
Simulated powder diffraction line list, Cu Ka. Input: DFT lattice parameters and positions (GGA-PBE).

Top 10 peaks for 15° ≤ 2θ ≤ 90°, by intensity:
24.24°, I = 1000; 17.87°, I = 572; 34.58°, I = 553; 32.92°, I = 544; 24.84°, I = 519; 29.39°, I = 488; 53.27°, I = 463; 27.46°, I = 324; 41.70°, I = 316; 30.28°, I = 304

Structure:
abc: 10.173 4.033 7.443
angles: 90.00 119.21 90.00
Space group C2/m (No. 12)
One atom of each set of equivalent atoms:
Ac1 0.000 0.000 0.000 [2 per cell]
Tc1 0.177 0.000 0.594 [4 per cell]
O1 0.016 0.000 0.667 [4 per cell]
O2 0.167 0.500 0.127 [4 per cell]
O3 0.213 0.500 0.573 [4 per cell]

# Ta4GaRh5
Simulated powder diffraction line list, Cu Ka. Input: DFT lattice parameters and positions (GGA-PBE).

Top 10 peaks for 15° ≤ 2θ ≤ 90°, by intensity:
39.34°, I = 1000; 44.53°, I = 351; 67.61°, I = 201; 48.09°, I = 141; 78.55°, I = 131; 78.46°, I = 131; 83.73°, I = 113; 64.87°, I = 57; 64.72°, I = 56; 84.68°, I = 55

Structure:
abc: 2.875 3.784 14.402
angles: 90.00 90.00 90.00
Space group Pmmm (No. 47)
One atom of each set of equivalent atoms:
Ta1 0.000 0.000 0.099 [2 per cell]
Ta2 0.000 0.000 0.302 [2 per cell]
Ga1 0.000 0.000 0.500 [1 per cell]
Rh1 0.500 0.500 0.000 [1 per cell]
Rh2 0.500 0.500 0.202 [2 per cell]
Rh3 0.500 0.500 0.404 [2 per cell]

# CsSnHg6
Simulated powder diffraction line list, Cu Ka. Input: DFT lattice parameters and positions (GGA-PBE).

Top 10 peaks for 15° ≤ 2θ ≤ 90°, by intensity:
34.53°, I = 1000; 28.14°, I = 894; 36.19°, I = 889; 36.31°, I = 886; 31.05°, I = 702; 33.56°, I = 453; 33.72°, I = 447; 59.59°, I = 441; 36.83°, I = 377; 37.02°, I = 371

Structure:
abc: 5.195 7.143 8.167
angles: 115.86 108.16 90.18
Space group P-1 (No. 2)
One atom of each set of equivalent atoms:
Cs1 0.000 0.000 0.000 [1 per cell]
Sn1 0.500 0.500 0.000 [1 per cell]
Hg1 0.126 0.627 0.254 [2 per cell]
Hg2 0.318 0.048 0.637 [2 per cell]
Hg3 0.319 0.589 0.637 [2 per cell]

# Ac8Tl3N2
Simulated powder diffraction line list, Cu Ka. Input: DFT lattice parameters and positions (GGA-PBE).

Top 10 peaks for 15° ≤ 2θ ≤ 90°, by intensity:
27.64°, I = 1000; 29.70°, I = 600; 29.87°, I = 575; 47.56°, I = 463; 44.08°, I = 322; 56.03°, I = 305; 27.88°, I = 304; 31.15°, I = 233; 28.21°, I = 230; 33.94°, I = 226

Structure:
abc: 7.6470 7.6470 28.8054
angles: 90.00 90.00 120.00
Space group R-3m (No. 166, hexagonal axes)
One atom of each set of equivalent atoms:
Ac1 0.0000 0.0000 0.1845 [6 per cell]
Ac2 0.0011 0.5006 0.7318 [18 per cell]
Tl1 0.0000 0.0000 0.3013 [6 per cell]
Tl2 0.0000 0.0000 0.5000 [3 per cell]
N1 0.0000 0.0000 0.1016 [6 per cell]